Diffraction record for ErBiRh. The powder diffraction line list is theoretical, not measured: it uses DFT lattice parameters and positions (GGA-PBE) and λ = 1.5418 Å (Cu Kα).
Neutral-atom scattering factors, no anomalous dispersion.

Crystal structure
Cell: 7.662 7.662 3.964 Å, 90.00 90.00 120.00°
Positions (direct):
Er1 0.000 0.601 0.000
Er2 0.399 0.399 0.000
Er3 0.601 0.000 0.000
Bi1 0.000 0.266 0.500
Bi2 0.266 0.000 0.500
Bi3 0.734 0.734 0.500
Rh1 0.000 0.000 0.000
Rh2 0.333 0.667 0.500
Rh3 0.667 0.333 0.500

The 10 most intense peaks (2θ from 5° to 70°), in order of rising 2θ:
| 2θ/deg | I (rel.) |
| --- | --- |
| 32.5 | 1000 |
| 35.3 | 563 |
| 35.8 | 444 |
| 40.8 | 346 |
| 42.7 | 205 |
| 45.8 | 205 |
| 55.0 | 94 |
| 59.4 | 210 |
| 63.0 | 193 |
| 65.7 | 286 |

=====

Diffraction record for EuBi2. The powder diffraction line list is theoretical, not measured: it uses DFT lattice parameters and positions (GGA-PBE) and λ = 1.5418 Å (Cu Kα).
Neutral-atom scattering factors, no anomalous dispersion.

Crystal structure
Cell: 17.367 17.367 17.367 Å, 164.27 164.27 22.32°
Positions (direct):
Eu1 0.301 0.551 0.750
Eu2 0.449 0.699 0.750
Eu3 0.551 0.301 0.250
Eu4 0.699 0.449 0.250
Bi1 0.033 0.783 0.250
Bi2 0.123 0.373 0.750
Bi3 0.217 0.967 0.250
Bi4 0.373 0.123 0.250
Bi5 0.627 0.877 0.750
Bi6 0.783 0.033 0.750
Bi7 0.877 0.627 0.250
Bi8 0.967 0.217 0.750

The 10 most intense peaks (2θ from 5° to 70°), in order of rising 2θ:
| 2θ/deg | I (rel.) |
| --- | --- |
| 30.2 | 72 |
| 30.9 | 1000 |
| 31.5 | 186 |
| 37.8 | 318 |
| 44.2 | 62 |
| 50.0 | 209 |
| 54.6 | 112 |
| 55.7 | 100 |
| 64.1 | 259 |
| 64.4 | 100 |

=====

Diffraction record for Eu5Bi3. The powder diffraction line list is theoretical, not measured: it uses DFT lattice parameters and positions (GGA-PBE) and λ = 1.5418 Å (Cu Kα).
Neutral-atom scattering factors, no anomalous dispersion.

Crystal structure
Cell: 9.634 9.634 7.240 Å, 90.00 90.00 120.00°
Positions (direct):
Eu1 0.000 0.252 0.250
Eu2 0.000 0.748 0.750
Eu3 0.252 0.000 0.250
Eu4 0.252 0.252 0.750
Eu5 0.333 0.667 0.000
Eu6 0.333 0.667 0.500
Eu7 0.667 0.333 0.000
Eu8 0.667 0.333 0.500
Eu9 0.748 0.000 0.750
Eu10 0.748 0.748 0.250
Bi1 0.000 0.390 0.750
Bi2 0.000 0.610 0.250
Bi3 0.390 0.000 0.750
Bi4 0.390 0.390 0.250
Bi5 0.610 0.000 0.250
Bi6 0.610 0.610 0.750

The 10 most intense peaks (2θ from 5° to 70°), in order of rising 2θ:
| 2θ/deg | I (rel.) |
| --- | --- |
| 24.6 | 150 |
| 28.3 | 113 |
| 30.9 | 1000 |
| 32.2 | 294 |
| 40.9 | 157 |
| 45.2 | 99 |
| 47.4 | 164 |
| 50.4 | 111 |
| 55.0 | 85 |
| 61.1 | 196 |

=====

Diffraction record for EuBi2. The powder diffraction line list is theoretical, not measured: it uses DFT lattice parameters and positions (GGA-PBE) and λ = 1.5418 Å (Cu Kα).
Neutral-atom scattering factors, no anomalous dispersion.

Crystal structure
Cell: 9.069 9.069 4.627 Å, 90.00 90.00 149.25°
Positions (direct):
Eu1 0.101 0.899 0.750
Eu2 0.899 0.101 0.250
Bi1 0.253 0.747 0.250
Bi2 0.437 0.563 0.750
Bi3 0.563 0.437 0.250
Bi4 0.747 0.253 0.750

The 10 most intense peaks (2θ from 5° to 70°), in order of rising 2θ:
| 2θ/deg | I (rel.) |
| --- | --- |
| 30.7 | 193 |
| 30.9 | 1000 |
| 37.4 | 165 |
| 38.9 | 149 |
| 49.1 | 107 |
| 50.4 | 100 |
| 55.1 | 110 |
| 63.4 | 133 |
| 64.4 | 97 |
| 65.5 | 121 |

=====

Diffraction record for EuHg2Bi. The powder diffraction line list is theoretical, not measured: it uses DFT lattice parameters and positions (GGA-PBE) and λ = 1.5418 Å (Cu Kα).
Neutral-atom scattering factors, no anomalous dispersion.

Crystal structure
Cell: 5.496 5.496 5.496 Å, 60.00 60.00 60.00°
Positions (direct):
Eu1 0.000 0.000 0.000
Hg1 0.250 0.250 0.250
Hg2 0.750 0.750 0.750
Bi1 0.500 0.500 0.500

The 6 most intense peaks (2θ from 5° to 70°), in order of rising 2θ:
| 2θ/deg | I (rel.) |
| --- | --- |
| 19.8 | 11 |
| 32.6 | 1000 |
| 38.4 | 7 |
| 46.8 | 186 |
| 58.1 | 392 |
| 68.3 | 123 |

=====

Diffraction record for EuBi2IO4. The powder diffraction line list is theoretical, not measured: it uses DFT lattice parameters and positions (GGA-PBE) and λ = 1.5418 Å (Cu Kα).
Neutral-atom scattering factors, no anomalous dispersion.

Crystal structure
Cell: 3.980 3.980 9.806 Å, 90.00 90.00 90.00°
Positions (direct):
Eu1 0.000 0.000 0.000
Bi1 0.500 0.500 0.258
Bi2 0.500 0.500 0.742
I1 0.000 0.000 0.500
O1 0.000 0.500 0.147
O2 0.000 0.500 0.853
O3 0.500 0.000 0.147
O4 0.500 0.000 0.853

The 10 most intense peaks (2θ from 5° to 70°), in order of rising 2θ:
| 2θ/deg | I (rel.) |
| --- | --- |
| 18.1 | 35 |
| 28.9 | 1000 |
| 31.8 | 319 |
| 36.7 | 111 |
| 45.6 | 174 |
| 49.3 | 263 |
| 54.9 | 340 |
| 59.9 | 113 |
| 61.3 | 116 |
| 66.4 | 56 |